For Nd8Dy3Er4, a cell relaxed with GGA-PBE gives the simulated powder XRD pattern in this record (CuKα).
Intensities are scaled so that the largest is 100.

Structure:
```
data_Nd8Dy3Er4
_chemical_formula_sum 'Nd16 Dy6 Er8'
_cell_length_a 13.746
_cell_length_b 12.207
_cell_length_c 6.872
_cell_angle_alpha 90.00
_cell_angle_beta 117.84
_cell_angle_gamma 90.00
_symmetry_space_group_name_H-M 'C 1 2/m 1'
_symmetry_Int_Tables_number 12
loop_
_symmetry_equiv_pos_as_xyz
'x,y,z'
'-x,-y,-z'
'-x,y,-z'
'x,-y,z'
'x+1/2,y+1/2,z'
'-x+1/2,-y+1/2,-z'
'-x+1/2,y+1/2,-z'
'x+1/2,-y+1/2,z'
loop_
_atom_site_label
_atom_site_type_symbol
_atom_site_fract_x
_atom_site_fract_y
_atom_site_fract_z
Nd1 Nd 0.000 0.205 0.000
Nd2 Nd 0.000 0.254 0.500
Nd3 Nd 0.204 0.000 0.175
Nd4 Nd 0.244 0.500 0.289
Dy1 Dy 0.000 0.000 0.500
Dy2 Dy 0.250 0.250 0.000
Er1 Er 0.000 0.500 0.000
Er2 Er 0.000 0.500 0.500
Er3 Er 0.250 0.250 0.500
```

Most intense lines, 2θ from 10° to 90°, sorted by position:
d (Å), 2θ (°), I (rel.), (hkl)
3.434, 25.95, 24, 2 0 -2
3.052, 29.26, 74, 0 4 0
3.039, 29.40, 100, 4 0 0
2.993, 29.86, 44, 2 2 -2
2.943, 30.37, 22, 4 0 -2
2.721, 32.92, 36, 0 2 2
2.651, 33.81, 33, 4 2 -2
2.153, 41.96, 63, 4 4 0
1.717, 53.36, 20, 4 0 -4
1.496, 62.02, 21, 4 4 -4

For Nd7Dy6Er16, a cell relaxed with GGA-PBE gives the simulated powder XRD pattern in this record (CuKα).
Intensities are scaled so that the largest is 100.

Structure:
```
data_Nd7Dy6Er16
_chemical_formula_sum 'Nd28 Dy24 Er64'
_cell_length_a 15.581
_cell_length_b 15.581
_cell_length_c 15.581
_cell_angle_alpha 90.00
_cell_angle_beta 90.00
_cell_angle_gamma 90.00
_symmetry_space_group_name_H-M 'F m -3 m'
_symmetry_Int_Tables_number 225
_symmetry_space_group_name_Hall '-F 4 2 3'
loop_
_atom_site_label
_atom_site_type_symbol
_atom_site_fract_x
_atom_site_fract_y
_atom_site_fract_z
Nd1 Nd 0.000 0.000 0.000
Nd2 Nd 0.000 0.250 0.250
Dy1 Dy 0.000 0.000 0.225
Er1 Er 0.113 0.113 0.387
Er2 Er 0.150 0.150 0.150
```

Most intense lines, 2θ from 10° to 90°, sorted by position:
d (Å), 2θ (°), I (rel.), (hkl)
3.180, 28.06, 7, 4 2 2
2.998, 29.80, 30, 3 3 3
2.754, 32.51, 100, 4 4 0
2.028, 44.67, 13, 5 5 3
1.948, 46.64, 13, 8 0 0
1.633, 56.33, 9, 9 3 1
1.590, 58.00, 21, 8 4 4
1.506, 61.57, 17, 7 7 3
1.191, 80.64, 5, 13 1 1
1.139, 85.16, 6, 9 9 5

For Nd4DyEr2, a cell relaxed with GGA-PBE gives the simulated powder XRD pattern in this record (CuKα).
Intensities are scaled so that the largest is 100.

Structure:
```
data_Nd4DyEr2
_chemical_formula_sum 'Nd32 Dy8 Er16'
_cell_length_a 11.993
_cell_length_b 24.283
_cell_length_c 6.468
_cell_angle_alpha 90.00
_cell_angle_beta 90.00
_cell_angle_gamma 90.00
_symmetry_space_group_name_H-M 'F d d 2'
_symmetry_Int_Tables_number 43
_symmetry_space_group_name_Hall 'F 2 -2d'
loop_
_atom_site_label
_atom_site_type_symbol
_atom_site_fract_x
_atom_site_fract_y
_atom_site_fract_z
Nd1 Nd 0.052 0.070 0.000
Nd2 Nd 0.069 0.144 0.530
Dy1 Dy 0.000 0.000 0.495
Er1 Er 0.025 0.216 0.055
```

Most intense lines, 2θ from 10° to 90°, sorted by position:
d (Å), 2θ (°), I (rel.), (hkl)
3.131, 28.51, 15, 0 2 2
2.962, 30.17, 100, 1 7 1
2.911, 30.72, 31, 4 2 0
2.846, 31.43, 63, 2 0 2
2.786, 32.13, 33, 3 5 1
2.771, 32.30, 24, 2 2 2
2.428, 37.02, 27, 3 7 1
1.810, 50.41, 20, 1 7 3
1.666, 55.14, 21, 2 14 0
1.529, 60.58, 14, 0 14 2

For NdDy3Er3, a cell relaxed with GGA-PBE gives the simulated powder XRD pattern in this record (CuKα).
Intensities are scaled so that the largest is 100.

Structure:
```
data_NdDy3Er3
_chemical_formula_sum 'Nd8 Dy24 Er24'
_cell_length_a 12.287
_cell_length_b 12.287
_cell_length_c 12.287
_cell_angle_alpha 90.00
_cell_angle_beta 90.00
_cell_angle_gamma 90.00
_symmetry_space_group_name_H-M 'I -4 3 m'
_symmetry_Int_Tables_number 217
_symmetry_space_group_name_Hall 'I -4 2 3'
loop_
_atom_site_label
_atom_site_type_symbol
_atom_site_fract_x
_atom_site_fract_y
_atom_site_fract_z
Nd1 Nd 0.127 0.127 0.873
Dy1 Dy 0.067 0.366 0.366
Er1 Er 0.097 0.097 0.291
```

Most intense lines, 2θ from 10° to 90°, sorted by position:
d (Å), 2θ (°), I (rel.), (hkl)
3.284, 27.15, 26, 3 2 1
3.072, 29.07, 64, 4 0 0
2.896, 30.87, 81, 4 1 1
2.620, 34.23, 100, 3 3 2
2.410, 37.32, 58, 4 3 1
1.738, 52.67, 23, 5 5 0
1.642, 56.00, 23, 6 4 2
1.561, 59.21, 22, 7 3 2
1.512, 61.29, 22, 8 1 1
1.428, 65.33, 20, 7 4 3

For Nd5Dy5Er, a cell relaxed with GGA-PBE gives the simulated powder XRD pattern in this record (CuKα).
Intensities are scaled so that the largest is 100.

Structure:
```
data_Nd5Dy5Er
_chemical_formula_sum 'Nd10 Dy10 Er2'
_cell_length_a 18.967
_cell_length_b 6.012
_cell_length_c 7.038
_cell_angle_alpha 90.00
_cell_angle_beta 111.61
_cell_angle_gamma 90.00
_symmetry_space_group_name_H-M 'C 1 2/m 1'
_symmetry_Int_Tables_number 12
loop_
_symmetry_equiv_pos_as_xyz
'x,y,z'
'-x,-y,-z'
'-x,y,-z'
'x,-y,z'
'x+1/2,y+1/2,z'
'-x+1/2,-y+1/2,-z'
'-x+1/2,y+1/2,-z'
'x+1/2,-y+1/2,z'
loop_
_atom_site_label
_atom_site_type_symbol
_atom_site_fract_x
_atom_site_fract_y
_atom_site_fract_z
Nd1 Nd 0.000 0.000 0.000
Nd2 Nd 0.175 0.500 0.420
Nd3 Nd 0.176 0.500 0.931
Dy1 Dy 0.000 0.500 0.500
Dy2 Dy 0.122 0.000 0.624
Dy3 Dy 0.169 0.000 0.170
Er1 Er 0.000 0.500 0.000
```

Most intense lines, 2θ from 10° to 90°, sorted by position:
d (Å), 2θ (°), I (rel.), (hkl)
3.268, 27.29, 22, 4 0 -2
3.153, 28.30, 16, 4 0 1
3.042, 29.36, 18, 5 1 0
3.006, 29.72, 58, 0 2 0
2.993, 29.85, 17, 3 1 -2
2.939, 30.41, 32, 6 0 0
2.698, 33.20, 100, 1 1 2
2.101, 43.04, 25, 6 2 0
1.670, 55.00, 24, 1 3 2
1.519, 61.02, 15, 4 2 -4

For Nd5Dy4Er, a cell relaxed with GGA-PBE gives the simulated powder XRD pattern in this record (CuKα).
Intensities are scaled so that the largest is 100.

Structure:
```
data_Nd5Dy4Er
_chemical_formula_sum 'Nd5 Dy4 Er1'
_cell_length_a 3.608
_cell_length_b 9.529
_cell_length_c 10.219
_cell_angle_alpha 74.36
_cell_angle_beta 89.96
_cell_angle_gamma 79.15
_symmetry_space_group_name_H-M 'P -1'
_symmetry_Int_Tables_number 2
loop_
_symmetry_equiv_pos_as_xyz
'x,y,z'
'-x,-y,-z'
loop_
_atom_site_label
_atom_site_type_symbol
_atom_site_fract_x
_atom_site_fract_y
_atom_site_fract_z
Nd1 Nd 0.000 0.000 0.000
Nd2 Nd 0.200 0.600 0.100
Nd3 Nd 0.401 0.199 0.695
Dy1 Dy 0.199 0.601 0.600
Dy2 Dy 0.400 0.201 0.205
Er1 Er 0.000 0.000 0.500
```

Most intense lines, 2θ from 10° to 90°, sorted by position:
d (Å), 2θ (°), I (rel.), (hkl)
2.945, 30.35, 100, 1 1 2
2.552, 35.16, 34, 1 -2 0
2.547, 35.24, 17, 1 3 0
1.804, 50.59, 30, 2 1 0
1.800, 50.72, 6, 0 5 0
1.539, 60.10, 21, 2 -1 2
1.537, 60.22, 18, 2 4 2
1.473, 63.11, 9, 2 2 4
1.171, 82.34, 10, 3 2 2
1.141, 85.04, 8, 3 4 0

For Nd2DyEr9, a cell relaxed with GGA-PBE gives the simulated powder XRD pattern in this record (CuKα).
Intensities are scaled so that the largest is 100.

Structure:
```
data_Nd2DyEr9
_chemical_formula_sum 'Nd2 Dy1 Er9'
_cell_length_a 11.2048
_cell_length_b 11.2048
_cell_length_c 3.4884
_cell_angle_alpha 90.00
_cell_angle_beta 90.00
_cell_angle_gamma 120.00
_symmetry_space_group_name_H-M 'P 6/m m m'
_symmetry_Int_Tables_number 191
_symmetry_space_group_name_Hall '-P 6 2'
loop_
_atom_site_label
_atom_site_type_symbol
_atom_site_fract_x
_atom_site_fract_y
_atom_site_fract_z
Nd1 Nd 0.3333 0.6667 0.0000
Dy1 Dy 0.0000 0.0000 0.0000
Er1 Er 0.0000 0.5000 0.0000
Er2 Er 0.1744 0.3487 0.5000
```

Most intense lines, 2θ from 10° to 90°, sorted by position:
d (Å), 2θ (°), I (rel.), (hkl)
2.961, 30.18, 24, 1 1 1
2.832, 31.59, 57, 2 0 1
2.801, 31.95, 100, 2 2 0
2.528, 35.52, 15, 2 1 1
2.372, 37.93, 13, 3 0 1
1.992, 45.55, 20, 4 0 1
1.623, 56.71, 21, 4 2 1
1.617, 56.94, 18, 6 0 0
1.481, 62.76, 29, 2 2 2
1.186, 81.09, 14, 6 0 2

For Nd8Dy4Er3, a cell relaxed with GGA-PBE gives the simulated powder XRD pattern in this record (CuKα).
Intensities are scaled so that the largest is 100.

Structure:
```
data_Nd8Dy4Er3
_chemical_formula_sum 'Nd24 Dy12 Er9'
_cell_length_a 7.0164
_cell_length_b 7.0164
_cell_length_c 35.7996
_cell_angle_alpha 90.00
_cell_angle_beta 90.00
_cell_angle_gamma 120.00
_symmetry_space_group_name_H-M 'R -3 m'
_symmetry_Int_Tables_number 166
_symmetry_space_group_name_Hall '-R 3 2"'
loop_
_atom_site_label
_atom_site_type_symbol
_atom_site_fract_x
_atom_site_fract_y
_atom_site_fract_z
Nd1 Nd 0.0000 0.0000 0.2455
Nd2 Nd 0.0016 0.5008 0.7506
Dy1 Dy 0.0000 0.0000 0.0000
Dy2 Dy 0.0000 0.0000 0.3357
Dy3 Dy 0.0000 0.0000 0.5000
Er1 Er 0.0000 0.5000 0.5000
```

Most intense lines, 2θ from 10° to 90°, sorted by position:
d (Å), 2θ (°), I (rel.), (hkl)
3.366, 26.48, 20, 1 1 3
3.026, 29.52, 31, 0 2 1
2.983, 29.95, 59, 0 0 12
2.877, 31.09, 100, 0 2 4
2.514, 35.72, 73, 2 0 8
1.802, 50.65, 28, 0 2 16
1.754, 52.14, 38, 2 2 0
1.542, 59.98, 18, 2 0 20
1.512, 61.30, 47, 2 2 12
1.136, 85.44, 18, 2 2 24

For Nd2Dy5Er2, a cell relaxed with GGA-PBE gives the simulated powder XRD pattern in this record (CuKα).
Intensities are scaled so that the largest is 100.

Structure:
```
data_Nd2Dy5Er2
_chemical_formula_sum 'Nd8 Dy20 Er8'
_cell_length_a 14.903
_cell_length_b 11.778
_cell_length_c 6.725
_cell_angle_alpha 90.00
_cell_angle_beta 90.00
_cell_angle_gamma 90.00
_symmetry_space_group_name_H-M 'I m a 2'
_symmetry_Int_Tables_number 46
loop_
_symmetry_equiv_pos_as_xyz
'x,y,z'
'-x,-y,z'
'-x+1/2,y,z'
'x+1/2,-y,z'
'x+1/2,y+1/2,z+1/2'
'-x+1/2,-y+1/2,z+1/2'
'-x,y+1/2,z+1/2'
'x,-y+1/2,z+1/2'
loop_
_atom_site_label
_atom_site_type_symbol
_atom_site_fract_x
_atom_site_fract_y
_atom_site_fract_z
Nd1 Nd 0.127 0.001 0.000
Dy1 Dy 0.053 0.246 0.351
Dy2 Dy 0.143 0.735 0.175
Dy3 Dy 0.250 0.246 0.149
Er1 Er 0.000 0.000 0.542
Er2 Er 0.250 0.511 0.953
```

Most intense lines, 2θ from 10° to 90°, sorted by position:
d (Å), 2θ (°), I (rel.), (hkl)
3.141, 28.41, 87, 4 1 1
2.944, 30.36, 100, 0 4 0
2.920, 30.62, 82, 0 2 2
2.890, 30.95, 60, 5 1 0
2.719, 32.95, 66, 2 2 2
2.710, 33.06, 46, 3 1 2
2.508, 35.81, 56, 4 3 1
2.374, 37.90, 39, 5 3 0
2.271, 39.68, 25, 3 3 2
1.571, 58.80, 24, 8 2 2

For Nd4DyEr8, a cell relaxed with GGA-PBE gives the simulated powder XRD pattern in this record (CuKα).
Intensities are scaled so that the largest is 100.

Structure:
```
data_Nd4DyEr8
_chemical_formula_sum 'Nd12 Dy3 Er24'
_cell_length_a 11.0015
_cell_length_b 11.0015
_cell_length_c 13.4544
_cell_angle_alpha 90.00
_cell_angle_beta 90.00
_cell_angle_gamma 120.00
_symmetry_space_group_name_H-M 'R -3 m'
_symmetry_Int_Tables_number 166
_symmetry_space_group_name_Hall '-R 3 2"'
loop_
_atom_site_label
_atom_site_type_symbol
_atom_site_fract_x
_atom_site_fract_y
_atom_site_fract_z
Nd1 Nd 0.0000 0.0000 0.0000
Nd2 Nd 0.0000 0.5000 0.0000
Dy1 Dy 0.0000 0.0000 0.5000
Er1 Er 0.0000 0.0000 0.2403
Er2 Er 0.0126 0.5063 0.7466
```

Most intense lines, 2θ from 10° to 90°, sorted by position:
d (Å), 2θ (°), I (rel.), (hkl)
4.489, 19.78, 10, 0 0 3
3.888, 22.87, 10, 2 0 2
3.477, 25.62, 5, 1 1 3
2.749, 32.57, 100, 2 2 0
2.344, 38.40, 5, 2 2 3
1.944, 46.73, 18, 4 0 4
1.739, 52.64, 4, 4 2 2
1.587, 58.12, 37, 6 0 0
1.375, 68.23, 11, 4 4 0
1.229, 77.67, 15, 6 2 4

For Nd2Dy15Er2, a cell relaxed with GGA-PBE gives the simulated powder XRD pattern in this record (CuKα).
Intensities are scaled so that the largest is 100.

Structure:
```
data_Nd2Dy15Er2
_chemical_formula_sum 'Nd6 Dy45 Er6'
_cell_length_a 11.2171
_cell_length_b 11.2171
_cell_length_c 17.4883
_cell_angle_alpha 90.00
_cell_angle_beta 90.00
_cell_angle_gamma 120.00
_symmetry_space_group_name_H-M 'R -3 m'
_symmetry_Int_Tables_number 166
_symmetry_space_group_name_Hall '-R 3 2"'
loop_
_atom_site_label
_atom_site_type_symbol
_atom_site_fract_x
_atom_site_fract_y
_atom_site_fract_z
Nd1 Nd 0.0000 0.0000 0.1734
Dy1 Dy 0.0000 0.2967 0.5000
Dy2 Dy 0.0000 0.5000 0.0000
Dy3 Dy 0.0111 0.5056 0.6376
Er1 Er 0.0000 0.0000 0.4037
```

Most intense lines, 2θ from 10° to 90°, sorted by position:
d (Å), 2θ (°), I (rel.), (hkl)
3.244, 27.49, 40, 0 2 4
2.915, 30.67, 19, 0 0 6
2.834, 31.58, 100, 2 0 5
2.805, 31.91, 42, 2 2 0
2.586, 34.68, 14, 1 1 6
2.527, 35.52, 50, 2 2 3
1.780, 51.32, 10, 3 3 3
1.666, 55.12, 13, 0 3 9
1.625, 56.63, 19, 0 4 8
1.619, 56.86, 19, 6 0 0

For Nd4Dy3Er3, a cell relaxed with GGA-PBE gives the simulated powder XRD pattern in this record (CuKα).
Intensities are scaled so that the largest is 100.

Structure:
```
data_Nd4Dy3Er3
_chemical_formula_sum 'Nd8 Dy6 Er6'
_cell_length_a 3.811
_cell_length_b 13.164
_cell_length_c 13.148
_cell_angle_alpha 90.00
_cell_angle_beta 90.00
_cell_angle_gamma 90.00
_symmetry_space_group_name_H-M 'A m m 2'
_symmetry_Int_Tables_number 38
loop_
_symmetry_equiv_pos_as_xyz
'x,y,z'
'-x,-y,z'
'-x,y,z'
'x,-y,z'
'x,y+1/2,z+1/2'
'-x,-y+1/2,z+1/2'
'-x,y+1/2,z+1/2'
'x,-y+1/2,z+1/2'
loop_
_atom_site_label
_atom_site_type_symbol
_atom_site_fract_x
_atom_site_fract_y
_atom_site_fract_z
Nd1 Nd 0.000 0.000 0.000
Nd2 Nd 0.000 0.000 0.262
Nd3 Nd 0.000 0.131 0.631
Dy1 Dy 0.000 0.249 0.381
Dy2 Dy 0.500 0.000 0.799
Er1 Er 0.500 0.000 0.463
Er2 Er 0.500 0.168 0.131
```

Most intense lines, 2θ from 10° to 90°, sorted by position:
d (Å), 2θ (°), I (rel.), (hkl)
3.291, 27.09, 15, 0 0 4
2.944, 30.37, 87, 0 2 4
2.810, 31.84, 100, 1 3 1
2.327, 38.69, 12, 0 4 4
1.941, 46.79, 14, 1 3 5
1.906, 47.73, 12, 2 0 0
1.901, 47.86, 8, 1 0 6
1.645, 55.89, 19, 0 0 8
1.599, 57.64, 20, 2 2 4
1.573, 58.68, 19, 1 3 7